Diffraction record for Ta2CrNO5. The powder diffraction line list is theoretical, not measured: it uses a crystal structure in the Materials Project, relaxed with PBE+U and a wavelength of 1.5418 Å.

Largest 10 diffraction maxima, in order of rising 2θ, 5° ≤ 2θ ≤ 70°:
- 2θ = 21.0°, I 26, (1 0 -2)
- 2θ = 26.4°, I 100, (1 1 -1)
- 2θ = 34.7°, I 59, (0 1 3)
- 2θ = 34.8°, I 20, (1 0 -4)
- 2θ = 37.7°, I 25, (0 2 0)
- 2θ = 52.1°, I 31, (1 2 2)
- 2θ = 52.3°, I 32, (1 2 -4)
- 2θ = 54.4°, I 16, (2 2 -2)
- 2θ = 61.5°, I 15, (1 3 -1)
- 2θ = 66.1°, I 14, (0 3 3)

Structure:
```
Ta2CrNO5
1.0
4.769 0.000 0.000
0.000 4.772 0.000
-4.732 0.000 9.219
Ta Cr N O
4 2 2 10
Cartesian
0.000 1.150 0.000
-2.366 3.623 4.610
0.118 1.153 3.156
-2.247 3.619 7.766
0.110 1.196 6.122
2.476 3.576 1.512
1.044 0.249 4.578
-1.322 4.523 9.188
-3.703 0.271 7.674
-1.337 4.501 3.065
-0.833 2.125 4.556
-3.199 2.647 9.166
1.017 0.287 1.512
-1.349 4.485 6.121
-0.813 2.146 7.686
1.553 2.626 3.076
3.936 2.137 1.487
1.570 2.635 6.096
```